For MgFe2Ni2O6, a crystal structure in the Materials Project, relaxed with GGA+U gives the simulated X-ray diffraction stick pattern in this record (Cu Kα X-rays).
Intensities are scaled so that the largest is 1000.

Atomic structure:
```
data_MgFe2Ni2O6
_chemical_formula_sum 'Mg3 Fe6 Ni6 O18'
_space_group_name_H-M_alt 'R -3'
_space_group_IT_number 148
_space_group_name_Hall '-R 3'
_cell_length_a 5.1372
_cell_length_b 5.1372
_cell_length_c 14.8776
_cell_angle_alpha 90.00
_cell_angle_beta 90.00
_cell_angle_gamma 120.00
loop_
_atom_site_label
_atom_site_type_symbol
_atom_site_fract_x
_atom_site_fract_y
_atom_site_fract_z
_atom_site_occupancy
Mg1 Mg 0.0000 0.0000 0.0000 1
Fe1 Fe 0.0000 0.0000 0.3581 1
Ni1 Ni 0.0000 0.0000 0.1712 1
O1 O 0.0090 0.6531 0.4108 1
```

Peak list (8 most intense, 15° ≤ 2θ ≤ 90°, low angle first)
| Position (°2θ) | d (Å) | intensity |
| --- | --- | --- |
| 23.30 | 3.818 | 326 |
| 31.35 | 2.854 | 421 |
| 34.93 | 2.569 | 974 |
| 36.30 | 2.475 | 391 |
| 39.51 | 2.281 | 182 |
| 51.22 | 1.784 | 1000 |
| 62.64 | 1.483 | 389 |
| 85.08 | 1.140 | 206 |